This entry pairs a crystal structure of RbIn6Hg6 with its theoretical X-ray diffraction stick pattern. Radiation: a wavelength of 1.5418 Å. Structure: a structure optimized by DFT (PBE).

The 10 most intense peaks (15 to 90 degrees two-theta), by angle:
h k l, d [Å], intensity
2 0 0, 3.344, 42
1 0 3, 3.232, 72
2 0 2, 2.863, 30
2 2 0, 2.788, 47
1 2 3, 2.722, 82
1 3 2, 2.642, 34
2 2 2, 2.490, 100
0 2 4, 2.428, 36
1 4 1, 2.310, 40
2 0 6, 1.616, 48

Atomic structure:
Unit cell a=6.6885 b=10.0984 c=11.0766 alpha=90.00 beta=90.00 gamma=90.00
Space group Immm (No. 71)
Asymmetric unit:
Rb (0.0000, 0.0000, 0.0000)
In (0.0000, 0.2608, 0.5000)
In (0.2500, 0.2500, 0.2500)
Hg (0.0000, 0.0000, 0.3450)
Hg (0.0000, 0.3500, 0.0000)
Hg (0.0000, 0.5000, 0.3146)